Starting from a cell relaxed with PBE, the powder diffraction line list of U8Pb3 was computed for a wavelength of 1.5418 Å.

Cell and atoms:
a = 6.1620 Å, b = 9.1475 Å, c = 9.6414 Å
α = 90.00°, β = 90.00°, γ = 90.00°
Space group Pmn2_1 (No. 31)
Asymmetric unit:
1 U 0.0000 0.0519 0.1568 [2 per cell]
2 U 0.0000 0.1719 0.6720 [2 per cell]
3 U 0.0000 0.4042 0.4254 [2 per cell]
4 U 0.0000 0.6895 0.0000 [2 per cell]
5 U 0.2350 0.5158 0.7251 [4 per cell]
6 U 0.2482 0.0825 0.4786 [4 per cell]
7 Pb 0.0000 0.3305 0.9683 [2 per cell]
8 Pb 0.0000 0.7675 0.3399 [2 per cell]
9 Pb 0.0000 0.8272 0.6843 [2 per cell]

Most intense lines, 10° ≤ 2θ ≤ 90°, in order of falling intensity:
d/Å  I/Imax  hkl
2.497  100  2 1 2
2.629  37  1 3 1
2.577  32  0 3 2
2.419  30  1 2 3
2.555  29  2 2 0
2.907  22  0 3 1
2.850  21  1 0 3
2.410  21  0 0 4